This entry pairs a crystal structure of DyScCd4 with its computed powder diffractogram. Radiation: Cu Ka. Structure: a DFT-relaxed cell (GGA-PBE, Alexandria).

Peak list (12 most intense, 15 to 90 degrees two-theta, in order of falling intensity)
2θ/deg, Rel. int.
34.26, 100
36.44, 98
50.87, 32
64.17, 26
68.18, 20
65.58, 17
45.88, 15
26.91, 11
77.41, 10
68.26, 10
55.47, 9
87.48, 9

Structure:
```
data_DyScCd4
_cell_length_a 3.313
_cell_length_b 4.930
_cell_length_c 8.545
_cell_angle_alpha 90.00
_cell_angle_beta 90.10
_cell_angle_gamma 90.00
_space_group_name_H-M_alt 'P 1 2/m 1'
_space_group_IT_number 10
_space_group_name_Hall '-P 2y'
loop_
_atom_site_label
_atom_site_type_symbol
_atom_site_fract_x
_atom_site_fract_y
_atom_site_fract_z
_atom_site_occupancy
Dy1 Dy 0.000 0.000 0.000 1
Sc1 Sc 0.000 0.500 0.500 1
Cd1 Cd 0.499 0.000 0.663 1
Cd2 Cd 0.500 0.500 0.172 1
```

This entry pairs a crystal structure of Pm2Zr2In3 with its computed powder diffractogram. Radiation: Cu Ka. Structure: a DFT-relaxed cell (GGA-PBE, Alexandria).

Peak list (12 most intense, 15 to 90 degrees two-theta, in order of falling intensity)
2θ/deg, Rel. int.
32.87, 100
33.65, 98
36.11, 59
37.76, 41
53.24, 38
67.17, 24
62.42, 21
26.79, 16
70.20, 14
65.56, 14
65.09, 13
56.77, 12

Structure:
```
data_Pm2Zr2In3
_cell_length_a 4.765
_cell_length_b 23.248
_cell_length_c 3.243
_cell_angle_alpha 90.00
_cell_angle_beta 90.00
_cell_angle_gamma 90.00
_space_group_name_H-M_alt 'C m m m'
_space_group_IT_number 65
_space_group_name_Hall '-C 2 2'
loop_
_atom_site_label
_atom_site_type_symbol
_atom_site_fract_x
_atom_site_fract_y
_atom_site_fract_z
_atom_site_occupancy
Pm1 Pm 0.000 0.075 0.000 1
Zr1 Zr 0.000 0.213 0.000 1
In1 In 0.000 0.339 0.500 1
In2 In 0.000 0.500 0.500 1
```